Record 1
Computed powder X-ray diffraction pattern of Zn2GaPbO6 for a wavelength of 1.5418 Å, from the GGA-PBE geometry in Alexandria.

Cell and atoms:
```
Zn2GaPbO6
1.0
2.6568 1.5339 4.7276
-2.6568 1.5339 4.7276
0.0000 -3.0678 4.7276
Zn Ga Pb O
2 1 1 6
direct
0.0000 0.0000 0.0000
0.4911 0.4911 0.4911
0.7057 0.7057 0.7057
0.2116 0.2116 0.2116
0.0887 0.4165 0.7923
0.3085 0.8819 0.6253
0.4165 0.7923 0.0887
0.6253 0.3085 0.8819
0.7923 0.0887 0.4165
0.8819 0.6253 0.3085
```

Principal peaks in the range 10 to 80 degrees two-theta, in order of rising 2θ:
2theta, I/Imax
20.3, 34
23.0, 46
31.9, 100
33.7, 88
38.9, 19
47.1, 39
51.8, 38
59.2, 38
60.3, 28
69.3, 15

***

Record 2
Computed powder X-ray diffraction pattern of Eu3S2F4 for a wavelength of 1.5418 Å, from the GGA-PBE geometry in Alexandria.

Cell and atoms:
```
Eu3S2F4
1.0
-1.9995 1.9995 9.8838
1.9995 -1.9995 9.8838
1.9995 1.9995 -9.8838
Eu S F
3 2 4
direct
0.0000 0.0000 0.0000
0.3427 0.3427 0.0000
0.6573 0.6573 0.0000
0.1969 0.1969 0.0000
0.8031 0.8031 0.0000
0.0697 0.5697 0.5000
0.4303 0.9303 0.5000
0.5697 0.0697 0.5000
0.9303 0.4303 0.5000
```

Principal peaks in the range 10 to 80 degrees two-theta, in order of rising 2θ:
2theta, I/Imax
26.1, 100
27.1, 23
31.6, 39
42.1, 51
45.4, 26
47.2, 23
53.1, 29
53.6, 14
66.1, 9
67.5, 16

***

Record 3
Computed powder X-ray diffraction pattern of LaPr3Al4O12 for a wavelength of 1.5418 Å, from the GGA-PBE geometry in Alexandria.

Cell and atoms:
```
LaPr3Al4O12
1.0
5.3657 0.0000 0.0000
0.0000 5.3657 0.0000
0.0000 0.0000 7.6460
La Pr Al O
1 3 4 12
direct
0.0000 0.0000 0.0000
0.0000 0.0000 0.5000
0.5000 0.5000 0.0000
0.5000 0.5000 0.5000
0.0000 0.5000 0.2505
0.0000 0.5000 0.7495
0.5000 0.0000 0.2505
0.5000 0.0000 0.7495
0.0000 0.5000 0.0000
0.0000 0.5000 0.5000
0.2135 0.2135 0.2518
0.2135 0.7865 0.7482
0.2876 0.2876 0.7502
0.2876 0.7124 0.2498
0.5000 0.0000 0.0000
0.5000 0.0000 0.5000
0.7124 0.2876 0.2498
0.7124 0.7124 0.7502
0.7865 0.2135 0.7482
0.7865 0.7865 0.2518
```

Principal peaks in the range 10 to 80 degrees two-theta, in order of rising 2θ:
2theta, I/Imax
23.3, 25
23.4, 51
33.3, 100
33.4, 53
41.1, 63
48.0, 34
54.0, 23
59.4, 21
59.6, 42
69.9, 21